The following is a calculated powder X-ray diffraction pattern of PuAl2Si2Ni2. It was derived from a crystal structure in Alexandria, relaxed with GGA-PBE, using Cu Kα.
No peak broadening, texture or thermal motion is included.

Most intense lines, 2θ = 10–90°, in order of rising 2θ:
- 2θ = 11.43°, d 7.740, I = 54, (0 0 3)
- 2θ = 26.01°, d 3.426, I = 31, (1 0 1)
- 2θ = 26.86°, d 3.319, I = 97, (0 1 2)
- 2θ = 30.04°, d 2.975, I = 65, (1 0 4)
- 2θ = 32.24°, d 2.777, I = 49, (0 1 5)
- 2θ = 34.77°, d 2.580, I = 29, (0 0 9)
- 2θ = 37.54°, d 2.396, I = 100, (1 0 7)
- 2θ = 45.35°, d 2.000, I = 77, (1 1 0)
- 2θ = 58.38°, d 1.581, I = 40, (1 1 9)
- 2θ = 60.28°, d 1.535, I = 25, (0 2 7)
- 2θ = 70.32°, d 1.339, I = 24, (1 0 16)
- 2θ = 78.55°, d 1.218, I = 23, (2 1 7)

Cell and atoms:
```
data_PuAl2Si2Ni2
_cell_length_a 3.9997
_cell_length_b 3.9997
_cell_length_c 23.2215
_cell_angle_alpha 90.00
_cell_angle_beta 90.00
_cell_angle_gamma 120.00
_symmetry_space_group_name_H-M 'R -3 m'
_symmetry_Int_Tables_number 166
_symmetry_space_group_name_Hall '-R 3 2"'
loop_
_atom_site_label
_atom_site_type_symbol
_atom_site_fract_x
_atom_site_fract_y
_atom_site_fract_z
_atom_site_occupancy
Pu1 Pu 0.0000 0.0000 0.0000 1
Al1 Al 0.0000 0.0000 0.1359 1
Si1 Si 0.0000 0.0000 0.2566 1
Ni1 Ni 0.0000 0.0000 0.4408 1
```

The following is a calculated powder X-ray diffraction pattern of TaTiCuAu. It was derived from a crystal structure in Alexandria, relaxed with GGA-PBE, using Cu Kα.
No peak broadening, texture or thermal motion is included.

Most intense lines, 2θ = 10–90°, in order of rising 2θ:
- 2θ = 27.30°, d 3.266, I = 40, (1 0 0)
- 2θ = 29.50°, d 3.028, I = 16, (0 0 2)
- 2θ = 39.00°, d 2.310, I = 58, (1 1 0)
- 2θ = 40.63°, d 2.220, I = 100, (1 0 2)
- 2θ = 49.65°, d 1.836, I = 16, (1 1 2)
- 2θ = 56.33°, d 1.633, I = 20, (2 0 0)
- 2θ = 61.23°, d 1.514, I = 7, (0 0 4)
- 2θ = 63.71°, d 1.461, I = 8, (2 1 0)
- 2θ = 64.87°, d 1.437, I = 8, (2 0 2)
- 2θ = 71.74°, d 1.316, I = 37, (2 1 2)
- 2θ = 75.02°, d 1.266, I = 15, (1 1 4)
- 2θ = 87.95°, d 1.110, I = 10, (2 0 4)

Cell and atoms:
```
data_TaTiCuAu
_cell_length_a 3.2663
_cell_length_b 3.2663
_cell_length_c 6.0553
_cell_angle_alpha 90.00
_cell_angle_beta 90.00
_cell_angle_gamma 90.00
_symmetry_space_group_name_H-M 'P 4 m m'
_symmetry_Int_Tables_number 99
loop_
_symmetry_equiv_pos_as_xyz
'x,y,z'
'-y,x,z'
'-x,-y,z'
'y,-x,z'
'-x,y,z'
'y,x,z'
'x,-y,z'
'-y,-x,z'
loop_
_atom_site_label
_atom_site_type_symbol
_atom_site_fract_x
_atom_site_fract_y
_atom_site_fract_z
_atom_site_occupancy
Ta1 Ta 0.0000 0.0000 0.0000 1
Ti1 Ti 0.5000 0.5000 0.7216 1
Cu1 Cu 0.5000 0.5000 0.2303 1
Au1 Au 0.0000 0.0000 0.4725 1
```

The following is a calculated powder X-ray diffraction pattern of SrSi6Pd6. It was derived from a crystal structure in Alexandria, relaxed with GGA-PBE, using Cu Kα.
No peak broadening, texture or thermal motion is included.

Most intense lines, 2θ = 10–90°, in order of rising 2θ:
- 2θ = 21.00°, d 4.230, I = 33, (1 1 2)
- 2θ = 25.00°, d 3.561, I = 31, (1 2 1)
- 2θ = 32.89°, d 2.724, I = 100, (2 1 3)
- 2θ = 33.95°, d 2.640, I = 74, (1 3 0)
- 2θ = 34.08°, d 2.631, I = 50, (2 2 2)
- 2θ = 37.99°, d 2.369, I = 100, (3 1 2)
- 2θ = 44.09°, d 2.054, I = 82, (0 0 6)
- 2θ = 44.39°, d 2.041, I = 41, (2 1 5)
- 2θ = 45.21°, d 2.006, I = 30, (2 3 3)
- 2θ = 45.73°, d 1.984, I = 36, (0 4 2)
- 2θ = 46.84°, d 1.940, I = 44, (3 3 0)
- 2θ = 66.27°, d 1.410, I = 35, (3 3 6)

Cell and atoms:
```
data_SrSi6Pd6
_cell_length_a 8.0867
_cell_length_b 8.3798
_cell_length_c 12.3207
_cell_angle_alpha 90.00
_cell_angle_beta 90.00
_cell_angle_gamma 90.00
_symmetry_space_group_name_H-M 'I b a m'
_symmetry_Int_Tables_number 72
_symmetry_space_group_name_Hall '-I 2 2c'
loop_
_atom_site_label
_atom_site_type_symbol
_atom_site_fract_x
_atom_site_fract_y
_atom_site_fract_z
_atom_site_occupancy
Sr1 Sr 0.0000 0.0000 0.2500 1
Si1 Si 0.0635 0.2363 0.0000 1
Si2 Si 0.1630 0.3449 0.3821 1
Pd1 Pd 0.1393 0.3580 0.1805 1
Pd2 Pd 0.1810 0.0317 0.5000 1
```

The following is a calculated powder X-ray diffraction pattern of Al3GaN4. It was derived from a crystal structure in Alexandria, relaxed with GGA-PBE, using Cu Kα.
No peak broadening, texture or thermal motion is included.

Most intense lines, 2θ = 10–90°, in order of rising 2θ:
- 2θ = 16.25°, d 5.453, I = 21, (0 0 1)
- 2θ = 17.46°, d 5.080, I = 19, (1 0 0)
- 2θ = 23.94°, d 3.717, I = 18, (1 0 -1)
- 2θ = 32.85°, d 2.727, I = 78, (0 1 1)
- 2θ = 33.48°, d 2.676, I = 8, (1 1 0)
- 2θ = 35.34°, d 2.540, I = 47, (2 0 0)
- 2θ = 37.43°, d 2.403, I = 100, (1 1 1)
- 2θ = 49.01°, d 1.858, I = 33, (2 1 1)
- 2θ = 58.64°, d 1.574, I = 44, (0 2 0)
- 2θ = 64.82°, d 1.438, I = 42, (3 1 1)
- 2θ = 70.36°, d 1.338, I = 34, (2 2 0)
- 2θ = 71.67°, d 1.317, I = 16, (1 2 -2)

Cell and atoms:
```
data_Al3GaN4
_cell_length_a 5.0795
_cell_length_b 3.1489
_cell_length_c 5.4532
_cell_angle_alpha 90.00
_cell_angle_beta 90.03
_cell_angle_gamma 90.00
_symmetry_space_group_name_H-M 'P 1 m 1'
_symmetry_Int_Tables_number 6
loop_
_symmetry_equiv_pos_as_xyz
'x,y,z'
'x,-y,z'
loop_
_atom_site_label
_atom_site_type_symbol
_atom_site_fract_x
_atom_site_fract_y
_atom_site_fract_z
_atom_site_occupancy
Al1 Al 0.0000 0.0000 0.0000 1
Al2 Al 0.0003 0.5000 0.4964 1
Al3 Al 0.4995 0.0000 0.3322 1
Ga1 Ga 0.4988 0.5000 0.8311 1
N1 N 0.1095 0.5000 0.8311 1
N2 N 0.1221 0.0000 0.3320 1
N3 N 0.6229 0.5000 0.4903 1
N4 N 0.6251 0.0000 0.0061 1
```

The following is a calculated powder X-ray diffraction pattern of BaAgPtO3. It was derived from a crystal structure in Alexandria, relaxed with GGA-PBE, using Cu Kα.
No peak broadening, texture or thermal motion is included.

Most intense lines, 2θ = 10–90°, in order of rising 2θ:
- 2θ = 12.22°, d 7.245, I = 40, (0 2 0)
- 2θ = 24.57°, d 3.623, I = 21, (0 4 0)
- 2θ = 25.04°, d 3.556, I = 100, (1 3 0)
- 2θ = 28.67°, d 3.113, I = 18, (0 4 1)
- 2θ = 29.08°, d 3.071, I = 46, (1 3 1)
- 2θ = 29.34°, d 3.044, I = 55, (0 0 2)
- 2θ = 34.12°, d 2.628, I = 37, (2 0 0)
- 2θ = 38.94°, d 2.313, I = 62, (1 3 2)
- 2θ = 45.60°, d 1.989, I = 43, (2 0 2)
- 2θ = 47.19°, d 1.926, I = 20, (1 7 0)
- 2θ = 56.54°, d 1.628, I = 23, (1 7 2)
- 2θ = 64.30°, d 1.449, I = 21, (0 10 0)

Cell and atoms:
```
data_BaAgPtO3
_cell_length_a 5.2556
_cell_length_b 14.4904
_cell_length_c 6.0884
_cell_angle_alpha 90.00
_cell_angle_beta 90.00
_cell_angle_gamma 90.00
_symmetry_space_group_name_H-M 'C m c m'
_symmetry_Int_Tables_number 63
_symmetry_space_group_name_Hall '-C 2c 2'
loop_
_atom_site_label
_atom_site_type_symbol
_atom_site_fract_x
_atom_site_fract_y
_atom_site_fract_z
_atom_site_occupancy
Ba1 Ba 0.0000 0.2058 0.2500 1
Ag1 Ag 0.0000 0.1009 0.7500 1
Pt1 Pt 0.0000 0.4967 0.7500 1
O1 O 0.0000 0.2472 0.7500 1
O2 O 0.2426 0.5000 0.0000 1
```

The following is a calculated powder X-ray diffraction pattern of Pm2ErReO8. It was derived from a crystal structure in Alexandria, relaxed with GGA-PBE, using Cu Kα.
No peak broadening, texture or thermal motion is included.

Most intense lines, 2θ = 10–90°, in order of rising 2θ:
- 2θ = 24.25°, d 3.670, I = 60, (0 2 0)
- 2θ = 24.68°, d 3.608, I = 54, (2 0 0)
- 2θ = 31.44°, d 2.846, I = 100, (1 1 2)
- 2θ = 34.87°, d 2.573, I = 31, (2 2 0)
- 2θ = 47.41°, d 1.917, I = 41, (1 3 2)
- 2θ = 47.89°, d 1.899, I = 36, (3 1 2)
- 2θ = 50.60°, d 1.804, I = 10, (4 0 0)
- 2θ = 56.88°, d 1.619, I = 11, (4 2 0)
- 2θ = 59.72°, d 1.548, I = 10, (0 2 4)
- 2θ = 60.39°, d 1.533, I = 22, (3 3 2)
- 2θ = 65.61°, d 1.423, I = 11, (2 2 4)
- 2θ = 71.11°, d 1.326, I = 10, (1 5 2)

Cell and atoms:
```
data_Pm2ErReO8
_cell_length_a 7.2151
_cell_length_b 7.3397
_cell_length_c 6.8316
_cell_angle_alpha 90.00
_cell_angle_beta 90.00
_cell_angle_gamma 90.00
_symmetry_space_group_name_H-M 'C m m m'
_symmetry_Int_Tables_number 65
_symmetry_space_group_name_Hall '-C 2 2'
loop_
_atom_site_label
_atom_site_type_symbol
_atom_site_fract_x
_atom_site_fract_y
_atom_site_fract_z
_atom_site_occupancy
Pm1 Pm 0.0000 0.0000 0.2496 1
Er1 Er 0.0000 0.5000 0.0000 1
Re1 Re 0.0000 0.5000 0.5000 1
O1 O 0.0000 0.3238 0.2925 1
O2 O 0.2000 0.0000 0.0000 1
O3 O 0.2384 0.0000 0.5000 1
```